1.
The following is a simulated PXRD pattern of PmErTmTl. It was derived from DFT lattice parameters and positions (PBE), using a wavelength of 1.5418 Å.
Peak positions follow from Bragg's law for the DFT cell and can differ from measured ones.

Crystal structure
Cell lengths 4.8160, 4.8761, 4.8846 Å; angles 90.00, 90.00, 90.00 degrees
Space group Pmmm (No. 47)
Asymmetric unit:
Pm  0.0000  0.0000  0.0000 x1
Er  0.5000  0.5000  0.0000 x1
Tm  0.5000  0.0000  0.5000 x1
Tl  0.0000  0.5000  0.5000 x1

Top 12 peaks for 2θ = 10–80°, in order of rising 2θ:
Position (°2θ)  I_rel  hkl
18.18  1  0 0 1
31.90  100  1 1 1
36.83  34  0 2 0
37.34  16  2 0 0
53.08  12  0 2 2
53.46  24  2 2 0
63.28  28  1 3 1
63.96  14  3 1 1
66.69  12  2 2 2
78.29  2  0 0 4
78.46  2  0 4 0
79.63  2  4 0 0

2.
The following is a simulated PXRD pattern of Pm2Er3Tm9. It was derived from DFT lattice parameters and positions (PBE), using a wavelength of 1.5418 Å.
Peak positions follow from Bragg's law for the DFT cell and can differ from measured ones.

Crystal structure
Cell lengths 3.5164, 10.7548, 11.7815 Å; angles 101.40, 91.67, 96.58 degrees
Space group P-1 (No. 2)
Asymmetric unit:
Pm  0.0708  0.2070  0.3580 x2
Er  0.4858  0.9453  0.2011 x2
Er  0.5000  0.0000  0.5000 x1
Tm  0.0706  0.2720  0.6580 x2
Tm  0.0977  0.1597  0.0548 x2
Tm  0.2741  0.5884  0.7865 x2
Tm  0.3216  0.6268  0.0832 x2
Tm  0.5000  0.5000  0.5000 x1

Top 12 peaks for 2θ = 10–80°, in order of rising 2θ:
Position (°2θ)  I_rel  hkl
29.45  49  1 -2 1
31.55  100  0 2 3
32.28  80  0 2 -4
32.55  72  1 2 0
33.56  72  0 4 -1
33.77  67  1 0 -3
34.05  30  1 -3 0
34.76  30  1 -1 3
50.95  26  1 4 -4
56.01  19  1 4 3
58.34  29  0 6 2
61.17  30  1 6 -1